Pr2Sc3: calculated powder XRD pattern (a wavelength of 1.5418 Å), based on a cell relaxed with PBE.
Peak positions follow from Bragg's law for the DFT cell and can differ from measured ones.

```
data_Pr2Sc3
_chemical_formula_sum 'Pr8 Sc12'
_space_group_name_H-M_alt 'P b c n'
_space_group_IT_number 60
_cell_length_a 6.8503
_cell_length_b 8.9417
_cell_length_c 9.6519
_cell_angle_alpha 90.00
_cell_angle_beta 90.00
_cell_angle_gamma 90.00
loop_
_space_group_symop_operation_xyz
'x,y,z'
'-x,-y,-z'
'-x+1/2,-y+1/2,z+1/2'
'x+1/2,y+1/2,-z+1/2'
'x+1/2,-y+1/2,-z'
'-x+1/2,y+1/2,z'
'-x,y,-z+1/2'
'x,-y,z+1/2'
loop_
_atom_site_label
_atom_site_fract_x
_atom_site_fract_y
_atom_site_fract_z
_atom_site_occupancy
Pr1 0.1185 0.1903 0.0992 1
Sc1 0.0000 0.1471 0.7500 1
Sc2 0.1442 0.4701 0.8713 1
```

Peak list (8 most intense, 10 to 80 degrees two-theta, in order of rising 2θ)
d 4.738, rel. 28, hkl 1 1 1
d 3.036, rel. 100, hkl 2 1 1
d 2.958, rel. 74, hkl 1 2 2
d 2.769, rel. 71, hkl 1 1 3
d 2.733, rel. 57, hkl 1 3 0
d 2.666, rel. 47, hkl 2 1 2
d 2.612, rel. 43, hkl 0 2 3
d 2.076, rel. 26, hkl 1 4 1